This entry pairs a crystal structure of Na6Sc3NbSi2P4O24 with its calculated PXRD pattern. Radiation: Cu Kα (λ = 1.5418 Å). Structure: a GGA-PBE-relaxed structure.

Atomic structure:
Cell lengths 9.075, 9.080, 9.085 Å; angles 90.54, 119.43, 119.91 degrees
Space group P1 (No. 1)
Unique sites:
Na 0.000 0.000 0.000 [1 per cell]
Na 0.005 0.503 0.513 [1 per cell]
Na 0.153 0.252 0.771 [1 per cell]
Na 0.482 0.087 0.218 [1 per cell]
Na 0.540 0.922 0.810 [1 per cell]
Na 0.831 0.745 0.252 [1 per cell]
Sc 0.294 0.653 0.951 [1 per cell]
Sc 0.714 0.856 0.571 [1 per cell]
Sc 0.720 0.358 0.078 [1 per cell]
Nb 0.298 0.153 0.454 [1 per cell]
Si 0.211 0.956 0.768 [1 per cell]
Si 0.807 0.055 0.267 [1 per cell]
P 0.218 0.760 0.273 [1 per cell]
P 0.496 0.454 0.257 [1 per cell]
P 0.515 0.553 0.773 [1 per cell]
P 0.798 0.256 0.760 [1 per cell]
O 0.010 0.076 0.281 [1 per cell]
O 0.022 0.613 0.259 [1 per cell]
O 0.022 0.945 0.758 [1 per cell]
O 0.206 0.774 0.762 [1 per cell]
O 0.215 0.935 0.279 [1 per cell]
O 0.218 0.012 0.591 [1 per cell]
O 0.220 0.728 0.107 [1 per cell]
O 0.333 0.545 0.759 [1 per cell]
O 0.354 0.274 0.276 [1 per cell]
O 0.357 0.470 0.080 [1 per cell]
O 0.404 0.384 0.608 [1 per cell]
O 0.414 0.801 0.445 [1 per cell]
O 0.428 0.128 0.942 [1 per cell]
O 0.590 0.210 0.588 [1 per cell]
O 0.601 0.875 0.089 [1 per cell]
O 0.616 0.619 0.419 [1 per cell]
O 0.641 0.527 0.946 [1 per cell]
O 0.654 0.731 0.759 [1 per cell]
O 0.659 0.439 0.257 [1 per cell]
O 0.800 0.300 0.925 [1 per cell]
O 0.802 0.087 0.755 [1 per cell]
O 0.817 0.016 0.445 [1 per cell]
O 0.817 0.238 0.259 [1 per cell]
O 0.982 0.409 0.762 [1 per cell]

Largest 10 diffraction maxima, by angle, 10 to 90 degrees two-theta:
(1 0 0), 13.7 deg, d 6.451, rel. 41; (1 -1 1), 19.4 deg, d 4.579, rel. 46; (-2 1 1), 19.5 deg, d 4.541, rel. 87; (2 -1 0), 22.8 deg, d 3.894, rel. 40; (1 1 -2), 22.9 deg, d 3.879, rel. 50; (-3 2 1), 30.3 deg, d 2.947, rel. 43; (2 -1 1), 30.9 deg, d 2.894, rel. 53; (1 1 -3), 31.0 deg, d 2.880, rel. 57; (-1 2 2), 31.2 deg, d 2.865, rel. 53; (0 3 -1), 34.2 deg, d 2.622, rel. 100